Diffraction record for NbSeF9. The X-ray powder pattern is calculated, not measured: it uses a DFT-relaxed cell (GGA-PBE, the Materials Project) and Cu Kα.
Lines closer than 0.1° are merged.

Largest 12 diffraction maxima, in order of rising 2θ, 10 to 90 degrees two-theta:
index	d/Å	2θ/deg	intensity
2 0 2	4.555	19.49	99
2 1 1	4.176	21.27	61
2 -1 3	3.979	22.34	100
3 0 0	3.837	23.18	52
1 2 2	3.757	23.68	49
0 2 4	3.124	28.57	45
4 0 1	2.828	31.64	23
3 2 4	2.154	41.94	90
3 0 6	2.086	43.39	14
1 4 6	1.766	51.76	15
1 7 0	1.525	60.75	21
5 -3 8	1.522	60.87	26

Cell and atoms:
a b c (Å): 13.2917 13.2917 14.9020
angles (deg): 90.00 90.00 120.00
Space group R3 (No. 146, hexagonal axes)
Asymmetric unit:
Nb  0.0000  0.0000  0.0000 x3
Nb  0.0790  0.7049  0.3099 x9
Se  0.0000  0.0000  0.4841 x3
Se  0.0347  0.2710  0.8148 x9
F  0.9997  0.2884  0.0758 x9
F  0.0116  0.1147  0.4204 x9
F  0.0154  0.1252  0.9166 x9
F  0.0146  0.4036  0.2134 x9
F  0.0590  0.5580  0.9056 x9
F  0.0694  0.5766  0.3863 x9
F  0.0725  0.6980  0.5696 x9
F  0.0790  0.6896  0.0544 x9
F  0.1276  0.1109  0.0675 x9
F  0.1474  0.3698  0.8821 x9
F  0.1564  0.1381  0.5712 x9
F  0.1908  0.4052  0.3879 x9